The following is a calculated powder X-ray diffraction pattern of Hg7Pd10. It was derived from a PBE-relaxed structure, using a wavelength of 1.5418 Å.

Atomic structure:
Unit cell a=9.500 b=9.500 c=7.110 alpha=91.39 beta=91.39 gamma=81.11
Atoms (fractional coordinates):
Hg (0.038, 0.038, 0.281)
Hg (0.068, 0.618, 0.394)
Hg (0.201, 0.656, 0.798)
Hg (0.259, 0.259, 0.941)
Hg (0.335, 0.335, 0.499)
Hg (0.344, 0.799, 0.202)
Hg (0.382, 0.932, 0.606)
Hg (0.618, 0.068, 0.394)
Hg (0.656, 0.201, 0.798)
Hg (0.665, 0.665, 0.501)
Hg (0.741, 0.741, 0.059)
Hg (0.799, 0.344, 0.202)
Hg (0.932, 0.382, 0.606)
Hg (0.962, 0.962, 0.719)
Pd (0.000, 0.500, 0.000)
Pd (0.028, 0.788, 0.071)
Pd (0.091, 0.320, 0.283)
Pd (0.148, 0.148, 0.611)
Pd (0.212, 0.972, 0.929)
Pd (0.276, 0.516, 0.146)
Pd (0.320, 0.091, 0.283)
Pd (0.382, 0.618, 0.500)
Pd (0.443, 0.443, 0.830)
Pd (0.484, 0.724, 0.854)
Pd (0.500, 0.000, 0.000)
Pd (0.516, 0.276, 0.146)
Pd (0.557, 0.557, 0.170)
Pd (0.618, 0.382, 0.500)
Pd (0.680, 0.909, 0.717)
Pd (0.724, 0.484, 0.854)
Pd (0.788, 0.028, 0.071)
Pd (0.852, 0.852, 0.389)
Pd (0.909, 0.680, 0.717)
Pd (0.972, 0.212, 0.929)

Main lines, in order of rising 2θ (2θ from 15° to 90°):
Position (°2θ)  I (rel.)
39.03  19.4
39.43  24.8
39.67  25.9
39.96  50.6
40.25  100.0
40.94  73.1